Starting from a PBE+U-relaxed structure, the powder X-ray diffraction pattern of V3O5F was calculated for a wavelength of 1.5418 Å.
Lines closer than 0.1° are merged.

Structural model:
```
data_V3O5F
_chemical_formula_sum 'V12 O20 F4'
_symmetry_space_group_name_H-M 'C 1 m 1'
_symmetry_Int_Tables_number 8
_symmetry_space_group_name_Hall 'C -2y'
_cell_length_a 8.9688
_cell_length_b 6.4740
_cell_length_c 7.3148
_cell_angle_alpha 90.00
_cell_angle_beta 114.45
_cell_angle_gamma 90.00
loop_
_atom_site_label
_atom_site_fract_x
_atom_site_fract_y
_atom_site_fract_z
_atom_site_occupancy
V1 0.0000 0.0000 0.0000 1
V2 0.0054 0.0000 0.5222 1
V3 0.1682 0.5000 0.1647 1
V4 0.1863 0.5000 0.6787 1
V5 0.3336 0.0000 0.8539 1
V6 0.3519 0.0000 0.3265 1
O1 0.0119 0.2990 0.0169 1
O2 0.0761 0.5000 0.3804 1
O3 0.1661 0.2004 0.6673 1
O4 0.2379 0.0000 0.0467 1
O5 0.2615 0.5000 0.9622 1
O6 0.3426 0.2964 0.3416 1
O7 0.4026 0.5000 0.6998 1
F1 0.1106 0.0000 0.3122 1
F2 0.4427 0.0000 0.6421 1
```

The 8 most intense peaks (10° ≤ 2θ ≤ 80°), in order of rising 2θ:
2θ (°)  I/Imax  (hkl)
26.6  100  2 0 -2
27.6  100  0 2 0
35.8  99  3 1 0
53.2  30  5 1 -2
53.3  30  1 1 -4
54.2  28  3 3 0
54.3  28  1 3 2
62.5  25  4 0 2